1.
The following is a simulated PXRD pattern of Rb2Be2Si2O7. It was derived from the PBE geometry in the Materials Project, using CuKα.
Peak positions follow from Bragg's law for the DFT cell and can differ from measured ones.

Structure:
```
data_Rb2Be2Si2O7
_chemical_formula_sum 'Rb4 Be4 Si4 O14'
_symmetry_space_group_name_H-M 'P n n 2'
_symmetry_Int_Tables_number 34
_symmetry_space_group_name_Hall 'P 2 -2n'
_cell_length_a 5.200
_cell_length_b 8.439
_cell_length_c 9.014
_cell_angle_alpha 90.00
_cell_angle_beta 90.00
_cell_angle_gamma 90.00
loop_
_atom_site_label
_atom_site_type_symbol
_atom_site_fract_x
_atom_site_fract_y
_atom_site_fract_z
_atom_site_occupancy
Rb1 Rb 0.000 0.000 0.000 1
Rb2 Rb 0.000 0.500 0.061 1
Be1 Be 0.005 0.241 0.371 1
Si1 Si 0.004 0.304 0.701 1
O1 O 0.000 0.500 0.687 1
O2 O 0.074 0.235 0.537 1
O3 O 0.219 0.253 0.254 1
O4 O 0.221 0.253 0.822 1
```

Largest 12 diffraction maxima, low angle first, 10 to 90 degrees two-theta:
(hkl)  2θ/deg  intensity
1 0 1  19.7  309
1 1 2  28.3  151
1 2 1  29.0  1000
2 0 0  34.5  274
2 0 2  40.0  156
2 2 0  40.8  193
0 4 0  42.9  111
1 4 1  47.6  93
2 4 0  56.1  83
3 2 1  58.5  163
2 4 2  60.1  96
4 2 2  80.1  64

2.
The following is a simulated PXRD pattern of BeSO8. It was derived from the PBE geometry in the Materials Project, using CuKα.
Peak positions follow from Bragg's law for the DFT cell and can differ from measured ones.

Structure:
```
data_BeSO8
_chemical_formula_sum 'Be4 S4 O32'
_symmetry_space_group_name_H-M 'I -4 c 2'
_symmetry_Int_Tables_number 120
_symmetry_space_group_name_Hall 'I -4 -2c'
_cell_length_a 7.919
_cell_length_b 7.919
_cell_length_c 7.438
_cell_angle_alpha 90.00
_cell_angle_beta 90.00
_cell_angle_gamma 90.00
loop_
_atom_site_label
_atom_site_type_symbol
_atom_site_fract_x
_atom_site_fract_y
_atom_site_fract_z
_atom_site_occupancy
Be1 Be 0.000 0.000 0.000 1
S1 S 0.000 0.500 0.250 1
O1 O 0.073 0.359 0.355 1
O2 O 0.097 0.107 0.664 1
```

Largest 12 diffraction maxima, low angle first, 10 to 90 degrees two-theta:
(hkl)  2θ/deg  intensity
1 1 0  15.8  194
2 0 0  22.5  1000
0 0 2  23.9  442
2 1 1  27.9  528
1 1 2  28.8  152
2 2 0  32.0  90
2 0 2  33.0  255
3 2 1  42.9  521
3 1 2  43.6  293
2 1 3  44.6  96
5 1 2  65.1  87
4 0 4  69.3  100

3.
The following is a simulated PXRD pattern of BeSO8. It was derived from the PBE geometry in the Materials Project, using CuKα.
Peak positions follow from Bragg's law for the DFT cell and can differ from measured ones.

Structure:
```
data_BeSO8
_chemical_formula_sum 'Be4 S4 O32'
_symmetry_space_group_name_H-M 'I -4 c 2'
_symmetry_Int_Tables_number 120
_symmetry_space_group_name_Hall 'I -4 -2c'
_cell_length_a 8.435
_cell_length_b 8.435
_cell_length_c 11.307
_cell_angle_alpha 90.00
_cell_angle_beta 90.00
_cell_angle_gamma 90.00
loop_
_atom_site_label
_atom_site_type_symbol
_atom_site_fract_x
_atom_site_fract_y
_atom_site_fract_z
_atom_site_occupancy
Be1 Be 0.000 0.000 0.250 1
S1 S 0.000 0.500 0.000 1
O1 O 0.008 0.353 0.071 1
O2 O 0.099 0.146 0.804 1
```

Largest 12 diffraction maxima, low angle first, 10 to 90 degrees two-theta:
(hkl)  2θ/deg  intensity
1 1 0  14.9  166
2 0 0  21.1  285
1 1 2  21.7  1000
2 1 1  24.9  291
2 0 2  26.4  144
3 1 0  33.6  115
3 1 2  37.3  137
2 0 4  38.3  109
3 2 1  39.3  72
4 0 2  45.9  88
3 1 4  46.8  51
3 1 6  60.1  54

4.
The following is a simulated PXRD pattern of BeSO8. It was derived from the PBE geometry in the Materials Project, using CuKα.
Peak positions follow from Bragg's law for the DFT cell and can differ from measured ones.

Structure:
```
data_BeSO8
_chemical_formula_sum 'Be4 S4 O32'
_symmetry_space_group_name_H-M 'I -4 c 2'
_symmetry_Int_Tables_number 120
_symmetry_space_group_name_Hall 'I -4 -2c'
_cell_length_a 7.697
_cell_length_b 7.697
_cell_length_c 10.577
_cell_angle_alpha 90.00
_cell_angle_beta 90.00
_cell_angle_gamma 90.00
loop_
_atom_site_label
_atom_site_type_symbol
_atom_site_fract_x
_atom_site_fract_y
_atom_site_fract_z
_atom_site_occupancy
Be1 Be 0.000 0.000 0.000 1
S1 S 0.000 0.500 0.250 1
O1 O 0.083 0.126 0.103 1
O2 O 0.094 0.372 0.669 1
```

Largest 12 diffraction maxima, low angle first, 10 to 90 degrees two-theta:
(hkl)  2θ/deg  intensity
1 1 0  16.3  137
0 0 2  16.8  219
2 0 0  23.1  471
1 1 2  23.5  1000
2 1 1  27.2  173
2 0 2  28.7  179
2 1 3  36.5  294
1 1 4  37.8  96
3 2 1  43.2  184
3 2 3  49.9  195
4 0 4  59.4  107
3 1 6  65.4  90

5.
The following is a simulated PXRD pattern of BeSO8. It was derived from the PBE geometry in the Materials Project, using CuKα.
Peak positions follow from Bragg's law for the DFT cell and can differ from measured ones.

Structure:
```
data_BeSO8
_chemical_formula_sum 'Be4 S4 O32'
_symmetry_space_group_name_H-M 'I 4/m c m'
_symmetry_Int_Tables_number 140
_symmetry_space_group_name_Hall '-I 4 2c'
_cell_length_a 9.190
_cell_length_b 9.190
_cell_length_c 6.607
_cell_angle_alpha 90.00
_cell_angle_beta 90.00
_cell_angle_gamma 90.00
loop_
_atom_site_label
_atom_site_type_symbol
_atom_site_fract_x
_atom_site_fract_y
_atom_site_fract_z
_atom_site_occupancy
Be1 Be 0.000 0.500 0.000 1
S1 S 0.000 0.000 0.000 1
O1 O 0.087 0.413 0.195 1
O2 O 0.107 0.128 0.500 1
```

Largest 12 diffraction maxima, low angle first, 10 to 90 degrees two-theta:
(hkl)  2θ/deg  intensity
1 1 0  13.6  67
2 0 0  19.3  1000
0 0 2  27.0  102
2 2 0  27.4  181
1 1 2  30.4  989
3 2 1  37.8  78
4 0 0  39.2  83
4 2 2  52.4  71
0 0 4  55.6  58
4 4 0  56.7  83
4 4 2  63.8  50
5 3 2  65.6  54

6.
The following is a simulated PXRD pattern of Be3Zn4Si3SO12. It was derived from the PBE geometry in the Materials Project, using CuKα.
Peak positions follow from Bragg's law for the DFT cell and can differ from measured ones.

Structure:
```
data_Be3Zn4Si3SO12
_chemical_formula_sum 'Be6 Zn8 Si6 S2 O24'
_symmetry_space_group_name_H-M 'P -4 3 n'
_symmetry_Int_Tables_number 218
_symmetry_space_group_name_Hall 'P -4n 2 3'
_cell_length_a 8.198
_cell_length_b 8.198
_cell_length_c 8.198
_cell_angle_alpha 90.00
_cell_angle_beta 90.00
_cell_angle_gamma 90.00
loop_
_atom_site_label
_atom_site_type_symbol
_atom_site_fract_x
_atom_site_fract_y
_atom_site_fract_z
_atom_site_occupancy
Be1 Be 0.000 0.250 0.500 1
Zn1 Zn 0.166 0.166 0.166 1
Si1 Si 0.000 0.500 0.250 1
S1 S 0.000 0.000 0.000 1
O1 O 0.093 0.362 0.638 1
```

Largest 12 diffraction maxima, low angle first, 10 to 90 degrees two-theta:
(hkl)  2θ/deg  intensity
2 1 1  26.6  1000
3 1 0  34.6  177
3 2 1  41.2  202
3 3 0  47.0  438
4 2 2  54.9  105
5 2 1  62.0  112
4 4 0  64.3  90
5 3 0  66.5  84
6 0 0  68.7  97
5 3 2  70.9  66
5 4 1  75.1  107
6 3 3  87.4  119